Structure and theoretical XRD peak list of Li2AlFeO4 (a DFT-relaxed cell (GGA+U, the Materials Project); Cu Kα (λ = 1.5418 Å)).

Principal peaks in the range 10° ≤ 2θ ≤ 80°, by intensity:
| d (Å) | I (rel.) | hkl |
| --- | --- | --- |
| 2.945 | 100 | 1 1 -3 |
| 1.715 | 65 | 1 3 -3 |
| 3.863 | 64 | 1 1 0 |
| 2.040 | 64 | 2 0 2 |
| 2.985 | 64 | 0 2 0 |
| 5.174 | 48 | 0 1 1 |

Unit cell a=5.331 b=5.968 c=10.903 alpha=90.00 beta=108.10 gamma=90.00
Space group P2_1/c (No. 14)
Asymmetric unit:
Li 0.064 0.162 0.192
Li 0.302 0.157 0.932
Al 0.179 0.669 0.058
Fe 0.432 0.674 0.817
O 0.084 0.677 0.679
O 0.179 0.141 0.560
O 0.306 0.685 0.444
O 0.459 0.155 0.314